Starting from a cell relaxed with GGA-PBE, the PXRD pattern of FeCo12Pt4 was simulated for Cu Kα (λ = 1.5418 Å).

Largest 10 diffraction maxima, by intensity, 15 to 90 degrees two-theta:
19.82°, rel. 100, (2 0 0)
49.87°, rel. 75, (2 4 2)
45.27°, rel. 70, (4 2 0)
28.17°, rel. 54, (2 0 2)
80.17°, rel. 35, (6 2 4)
40.27°, rel. 35, (4 0 0)
34.69°, rel. 24, (2 2 2)
62.17°, rel. 21, (4 4 2)
69.61°, rel. 14, (6 2 2)
65.95°, rel. 12, (6 2 0)

Cell lengths 8.9547, 8.9564, 8.9651 Å; angles 90.00, 90.00, 90.00 degrees
Space group Immm (No. 71)
Symmetry-distinct sites (fractional):
Fe: 0.0000 0.0000 0.0000 (multiplicity 2)
Co: 0.0000 0.2308 0.1349 (multiplicity 8)
Co: 0.1352 0.0000 0.2304 (multiplicity 8)
Co: 0.2307 0.1352 0.0000 (multiplicity 8)
Pt: 0.2500 0.2500 0.2500 (multiplicity 8)



Starting from a cell relaxed with GGA-PBE, the PXRD pattern of Zn6XeO6 was simulated for Cu Kα (λ = 1.5418 Å).

Largest 10 diffraction maxima, by intensity, 15 to 90 degrees two-theta:
38.10°, rel. 100, (2 1 1)
34.67°, rel. 91, (2 1 0)
59.80°, rel. 49, (3 2 1)
30.91°, rel. 45, (2 0 0)
15.31°, rel. 42, (1 0 0)
57.42°, rel. 22, (3 0 2)
64.41°, rel. 22, (4 0 0)
75.26°, rel. 19, (4 2 1)
54.97°, rel. 18, (2 2 2)
26.68°, rel. 17, (1 1 1)

Cell lengths 5.7861, 5.7861, 5.7861 Å; angles 90.00, 90.00, 90.00 degrees
Space group Pm-3 (No. 200)
Symmetry-distinct sites (fractional):
Zn: 0.0000 0.2518 0.5000 (multiplicity 6)
Xe: 0.0000 0.0000 0.0000 (multiplicity 1)
O: 0.0000 0.5000 0.2522 (multiplicity 6)



Starting from a cell relaxed with GGA-PBE, the PXRD pattern of CsIn6Bi4 was simulated for Cu Kα (λ = 1.5418 Å).

Largest 10 diffraction maxima, by intensity, 15 to 90 degrees two-theta:
34.77°, rel. 100, (1 1 8)
33.14°, rel. 83, (2 0 0)
22.88°, rel. 55, (1 0 5)
18.98°, rel. 45, (1 0 3)
60.26°, rel. 41, (3 1 8)
47.58°, rel. 33, (2 2 0)
40.65°, rel. 25, (2 1 5)
39.15°, rel. 23, (1 0 11)
63.36°, rel. 22, (2 0 16)
30.24°, rel. 20, (1 1 6)

Cell lengths 5.4058, 5.4058, 27.9730 Å; angles 90.00, 90.00, 90.00 degrees
Space group I4/mmm (No. 139)
Symmetry-distinct sites (fractional):
Cs: 0.0000 0.0000 0.0000 (multiplicity 2)
In: 0.0000 0.5000 0.1213 (multiplicity 8)
In: 0.0000 0.5000 0.2500 (multiplicity 4)
Bi: 0.0000 0.0000 0.1821 (multiplicity 4)
Bi: 0.0000 0.0000 0.4402 (multiplicity 4)



Starting from a cell relaxed with GGA-PBE, the PXRD pattern of CaYInAu was simulated for Cu Kα (λ = 1.5418 Å).

Largest 10 diffraction maxima, by intensity, 15 to 90 degrees two-theta:
33.76°, rel. 100, (1 0 2)
34.51°, rel. 49, (1 1 0)
61.35°, rel. 35, (2 1 2)
24.22°, rel. 19, (1 0 0)
49.61°, rel. 17, (2 0 0)
59.89°, rel. 16, (1 1 4)
23.16°, rel. 11, (0 0 2)
41.98°, rel. 10, (1 1 2)
71.00°, rel. 10, (2 0 4)
43.06°, rel. 9, (1 0 3)

Cell lengths 3.6753, 3.6753, 7.6808 Å; angles 90.00, 90.00, 90.00 degrees
Space group P4mm (No. 99)
Symmetry-distinct sites (fractional):
Ca: 0.0000 0.0000 0.0000 (multiplicity 1)
Y: 0.0000 0.0000 0.4603 (multiplicity 1)
In: 0.5000 0.5000 0.7234 (multiplicity 1)
Au: 0.5000 0.5000 0.2524 (multiplicity 1)



Starting from a cell relaxed with GGA-PBE, the PXRD pattern of MnCu was simulated for Cu Kα (λ = 1.5418 Å).

Largest 10 diffraction maxima, by intensity, 15 to 90 degrees two-theta:
43.12°, rel. 100, (0 1 2)
49.87°, rel. 63, (1 0 4)
41.96°, rel. 36, (0 0 6)
88.91°, rel. 21, (1 1 6)
72.38°, rel. 19, (0 1 8)
74.01°, rel. 17, (1 1 0)
87.35°, rel. 11, (1 0 10)
89.69°, rel. 10, (2 0 2)
20.63°, rel. 2, (0 0 3)
41.29°, rel. 1, (1 0 1)

Cell lengths 2.5615, 2.5615, 12.9192 Å; angles 90.00, 90.00, 120.00 degrees
Space group R-3m (No. 166, hexagonal axes)
Symmetry-distinct sites (fractional):
Mn: 0.0000 0.0000 0.0000 (multiplicity 3)
Cu: 0.0000 0.0000 0.5000 (multiplicity 3)



- What is the formula in the first record?
  FeCo12Pt4